For RbSmNiF6, a cell relaxed with PBE+U gives the theoretical PXRD pattern in this record (λ = 1.5418 Å (Cu Kα)).
Neutral-atom scattering factors, no anomalous dispersion.

The 10 most intense peaks (2θ from 10° to 90°), by intensity:
27.35°, 3.261 Å, I = 100
49.27°, 1.849 Å, I = 67
28.79°, 3.101 Å, I = 62
29.96°, 2.982 Å, I = 61
14.85°, 5.964 Å, I = 51
28.28°, 3.156 Å, I = 40
37.07°, 2.425 Å, I = 39
44.66°, 2.029 Å, I = 32
17.29°, 5.129 Å, I = 32
28.51°, 3.131 Å, I = 25

Atomic structure:
```
RbSmNiF6
1.0
-3.6653 3.8948 5.1290
3.6653 -3.8948 5.1290
3.6653 3.8948 -5.1290
Rb Sm Ni F
2 2 2 12
Cartesian
0.0000 1.9474 0.8899 Rb
3.6653 1.9474 4.2391 Rb
3.6653 0.0000 0.0000 Sm
0.0000 0.0000 5.1290 Sm
1.8327 1.9474 -2.5645 Ni
1.8327 -1.9474 2.5645 Ni
1.6941 -0.4772 1.1916 F
5.6366 -0.4772 1.1916 F
3.6653 1.9474 -1.6768 F
1.6941 3.4175 -1.1916 F
1.9712 -0.4772 3.9374 F
3.6653 1.9474 1.1918 F
0.0000 1.9474 3.9372 F
1.6941 4.3720 1.1916 F
1.9712 0.4772 6.3206 F
0.0000 1.9474 6.8058 F
-1.9712 4.3720 3.9374 F
1.9712 4.3720 3.9374 F
```